Entry 1:
NbTcBr2O6: theoretical powder diffractogram (Cu Kα, 1.54184 Å), based on a cell relaxed with PBE.

Peak list (6 most intense, 2θ from 10° to 90°, most intense first)
2θ (°), I_rel
31.6, 100
45.4, 52
56.2, 29
56.5, 29
31.5, 25
31.8, 25

Cell and atoms:
a b c (Å): 5.6559 5.6559 5.6559
angles (deg): 120.27 119.72 90.01
Sites, in units of the cell vectors:
Nb (0.0000, 0.0000, 0.0000)
Tc (0.5000, 0.5000, 0.0000)
Br (0.2491, 0.7491, 0.5000)
Br (0.7509, 0.2509, 0.5000)
O (0.2582, 0.2572, 0.5153)
O (0.2578, 0.2578, 0.0000)
O (0.2582, 0.7428, 0.0010)
O (0.7418, 0.2572, 0.9990)
O (0.7422, 0.7422, 0.0000)
O (0.7418, 0.7428, 0.4847)

***

Entry 2:
RbNbBr4: theoretical powder diffractogram (Cu Kα, 1.54184 Å), based on a cell relaxed with PBE.

Peak list (6 most intense, 2θ from 10° to 90°, most intense first)
2θ (°), I_rel
13.2, 100
31.0, 77
34.0, 51
36.0, 47
26.2, 46
29.2, 44

Cell and atoms:
a b c (Å): 8.8177 8.8177 6.9347
angles (deg): 102.59 102.59 49.82
Sites, in units of the cell vectors:
Rb (0.1937, 0.1937, 0.2288)
Rb (0.8063, 0.8063, 0.7712)
Nb (0.4733, 0.4733, 0.6816)
Nb (0.5267, 0.5267, 0.3184)
Br (0.1770, 0.6220, 0.3820)
Br (0.2649, 0.7351, 0.0000)
Br (0.3123, 0.3123, 0.7469)
Br (0.3780, 0.8230, 0.6180)
Br (0.6220, 0.1770, 0.3820)
Br (0.6877, 0.6877, 0.2531)
Br (0.7351, 0.2649, 0.0000)
Br (0.8230, 0.3780, 0.6180)

***

Entry 3:
Rb2NbRuBr6: theoretical powder diffractogram (Cu Kα, 1.54184 Å), based on a cell relaxed with PBE.

Peak list (6 most intense, 2θ from 10° to 90°, most intense first)
2θ (°), I_rel
33.5, 100
29.0, 86
48.4, 69
33.8, 49
23.6, 43
60.2, 36

Cell and atoms:
a b c (Å): 7.5264 7.5264 7.5264
angles (deg): 119.74 119.74 90.45
Sites, in units of the cell vectors:
Rb (0.2500, 0.7500, 0.5000)
Rb (0.7500, 0.2500, 0.5000)
Nb (0.0000, 0.0000, 0.0000)
Ru (0.5000, 0.5000, 0.0000)
Br (0.2511, 0.2511, 0.5022)
Br (0.2511, 0.7489, 0.0000)
Br (0.2524, 0.2524, 0.0000)
Br (0.7476, 0.7476, 0.0000)
Br (0.7489, 0.2511, 0.0000)
Br (0.7489, 0.7489, 0.4978)

***

Entry 4:
RbNbTeBr: theoretical powder diffractogram (Cu Kα, 1.54184 Å), based on a cell relaxed with PBE.

Peak list (6 most intense, 2θ from 10° to 90°, most intense first)
2θ (°), I_rel
32.9, 100
28.0, 97
35.1, 51
44.0, 39
20.8, 36
47.3, 36

Cell and atoms:
a b c (Å): 8.9572 8.9572 8.9572
angles (deg): 155.20 155.20 35.35
Sites, in units of the cell vectors:
Rb (0.0000, 0.0000, 0.0000)
Nb (0.2294, 0.2294, 0.0000)
Te (0.6677, 0.6677, 0.0000)
Br (0.3872, 0.3872, 0.0000)

***

Entry 5:
Rb2NbTlBr8: theoretical powder diffractogram (Cu Kα, 1.54184 Å), based on a cell relaxed with PBE.

Peak list (6 most intense, 2θ from 10° to 90°, most intense first)
2θ (°), I_rel
29.2, 100
10.6, 40
14.9, 39
21.6, 29
15.9, 27
25.1, 23

Cell and atoms:
a b c (Å): 6.6317 8.6305 9.3363
angles (deg): 77.84 70.24 76.88
Sites, in units of the cell vectors:
Rb (0.1364, 0.0405, 0.2026)
Rb (0.8636, 0.9595, 0.7974)
Nb (0.0000, 0.5000, 0.5000)
Tl (0.5000, 0.5000, 0.0000)
Br (0.0248, 0.5328, 0.7615)
Br (0.2267, 0.2211, 0.5183)
Br (0.3457, 0.6195, 0.3599)
Br (0.3502, 0.8659, 0.8836)
Br (0.6498, 0.1341, 0.1164)
Br (0.6543, 0.3805, 0.6401)
Br (0.7733, 0.7789, 0.4817)
Br (0.9752, 0.4672, 0.2385)

***

Entry 6:
NbRh2Br: theoretical powder diffractogram (Cu Kα, 1.54184 Å), based on a cell relaxed with PBE.

Peak list (6 most intense, 2θ from 10° to 90°, most intense first)
2θ (°), I_rel
27.5, 100
47.6, 42
50.5, 35
41.5, 32
80.1, 17
60.1, 10

Cell and atoms:
a b c (Å): 6.5331 6.5331 6.5331
angles (deg): 123.77 123.77 83.59
Sites, in units of the cell vectors:
Nb (0.0000, 0.0000, 0.0000)
Nb (0.7500, 0.2500, 0.5000)
Rh (0.1104, 0.6250, 0.9854)
Rh (0.3750, 0.3604, 0.4854)
Rh (0.6396, 0.1250, 0.0146)
Rh (0.8750, 0.8896, 0.5146)
Br (0.2500, 0.7500, 0.5000)
Br (0.5000, 0.5000, 0.0000)